Computed powder X-ray diffraction pattern
Compound: DyAgSn
Radiation: copper Kα
Structure: a crystal structure in the Materials Project, relaxed with PBE
Lines closer than 0.1° are merged.

a b c (Å): 4.7454 4.7454 7.4167
angles (deg): 90.00 90.00 120.00
Space group P6_3mc (No. 186)
Symmetry-distinct sites (fractional):
Dy 0.0000 0.0000 0.0000
Ag 0.3333 0.6667 0.1878
Sn 0.3333 0.6667 0.7793

Main lines, in order of rising 2θ (2θ from 10° to 90°):
| 2θ (°) | Rel. int. | h k l |
| --- | --- | --- |
| 24.77 | 10 | 1 0 1 |
| 32.52 | 100 | 1 0 2 |
| 37.92 | 78 | 1 1 0 |
| 42.68 | 17 | 1 0 3 |
| 50.80 | 29 | 2 0 2 |
| 63.70 | 14 | 1 1 4 |
| 65.11 | 27 | 2 1 2 |
| 68.50 | 14 | 3 0 0 |

---

Computed powder X-ray diffraction pattern
Compound: Sr2TbSbO6
Radiation: copper Kα
Structure: a crystal structure in the Materials Project, relaxed with PBE
Lines closer than 0.1° are merged.

a b c (Å): 8.416 8.416 8.416
angles (deg): 90.00 90.00 90.00
Space group Fm-3m (No. 225)
Symmetry-distinct sites (fractional):
Sr 0.250 0.250 0.250
Tb 0.000 0.000 0.000
Sb 0.000 0.000 0.500
O 0.000 0.000 0.263

Main lines, in order of rising 2θ (2θ from 10° to 90°):
| 2θ (°) | Rel. int. | h k l |
| --- | --- | --- |
| 21.11 | 13 | 2 0 0 |
| 30.03 | 100 | 2 2 0 |
| 42.99 | 31 | 4 0 0 |
| 53.33 | 40 | 4 2 2 |
| 62.42 | 19 | 4 4 0 |
| 70.81 | 18 | 6 2 0 |
| 78.79 | 6 | 4 4 4 |
| 86.55 | 22 | 6 4 2 |

---

Computed powder X-ray diffraction pattern
Compound: CuPH6NO5
Radiation: copper Kα
Structure: a crystal structure in the Materials Project, relaxed with PBE
Lines closer than 0.1° are merged.

a b c (Å): 8.695 7.619 7.445
angles (deg): 90.00 94.81 90.00
Space group P2_1/c (No. 14)
Symmetry-distinct sites (fractional):
Cu 0.037 0.196 0.070
P 0.190 0.550 0.174
H 0.205 0.554 0.647
H 0.206 0.067 0.321
H 0.382 0.213 0.523
H 0.432 0.124 0.888
H 0.450 0.675 0.424
H 0.465 0.684 0.106
N 0.475 0.227 0.971
O 0.086 0.509 0.328
O 0.149 0.729 0.081
O 0.168 0.101 0.530
O 0.225 0.069 0.189
O 0.363 0.554 0.244

Main lines, in order of rising 2θ (2θ from 10° to 90°):
| 2θ (°) | Rel. int. | h k l |
| --- | --- | --- |
| 10.21 | 100 | 1 0 0 |
| 20.12 | 12 | 1 1 1 |
| 25.31 | 15 | 1 0 -2 |
| 26.30 | 11 | 0 2 1 |
| 29.41 | 10 | 1 1 2 |
| 30.38 | 16 | 2 0 -2 |
| 31.27 | 15 | 2 2 0 |
| 33.73 | 16 | 0 2 2 |

---

Computed powder X-ray diffraction pattern
Compound: ZnGaNO
Radiation: copper Kα
Structure: a crystal structure in the Materials Project, relaxed with PBE
Lines closer than 0.1° are merged.

a b c (Å): 3.270 5.624 5.305
angles (deg): 90.00 90.00 90.00
Space group Pmc2_1 (No. 26)
Symmetry-distinct sites (fractional):
Zn 0.000 0.178 0.000
Ga 0.500 0.348 0.518
N 0.500 0.339 0.877
O 0.000 0.178 0.400

Main lines, in order of rising 2θ (2θ from 10° to 90°):
| 2θ (°) | Rel. int. | h k l |
| --- | --- | --- |
| 31.65 | 49 | 1 1 0 |
| 33.79 | 58 | 0 0 2 |
| 36.00 | 100 | 1 1 1 |
| 36.15 | 51 | 0 2 1 |
| 46.98 | 23 | 1 1 2 |
| 56.59 | 31 | 1 3 0 |
| 61.90 | 32 | 1 1 3 |
| 67.57 | 27 | 1 3 2 |

---

Computed powder X-ray diffraction pattern
Compound: Ti2N
Radiation: copper Kα
Structure: a crystal structure in the Materials Project, relaxed with PBE
Lines closer than 0.1° are merged.

a b c (Å): 4.960 4.960 3.035
angles (deg): 90.00 90.00 90.00
Space group P4_2/mnm (No. 136)
Symmetry-distinct sites (fractional):
Ti 0.203 0.203 0.000
N 0.000 0.000 0.500

Main lines, in order of rising 2θ (2θ from 10° to 90°):
| 2θ (°) | Rel. int. | h k l |
| --- | --- | --- |
| 36.22 | 36 | 2 0 0 |
| 39.26 | 100 | 1 1 1 |
| 40.67 | 31 | 2 1 0 |
| 51.00 | 14 | 2 1 1 |
| 52.16 | 16 | 2 2 0 |
| 64.14 | 19 | 3 0 1 |
| 67.18 | 16 | 3 1 1 |
| 75.97 | 16 | 3 2 1 |

---

Computed powder X-ray diffraction pattern
Compound: MgTi5O10
Radiation: copper Kα
Structure: a crystal structure in the Materials Project, relaxed with PBE
Lines closer than 0.1° are merged.

a b c (Å): 5.268 10.065 7.555
angles (deg): 90.00 109.37 90.00
Space group P2_1/m (No. 11)
Symmetry-distinct sites (fractional):
Mg 0.041 0.250 0.153
Ti 0.045 0.061 0.821
Ti 0.454 0.564 0.684
Ti 0.456 0.750 0.346
O 0.096 0.750 0.143
O 0.182 0.612 0.772
O 0.219 0.068 0.096
O 0.285 0.570 0.407
O 0.323 0.119 0.725
O 0.416 0.250 0.372

Main lines, in order of rising 2θ (2θ from 10° to 90°):
| 2θ (°) | Rel. int. | h k l |
| --- | --- | --- |
| 17.62 | 20 | 0 2 0 |
| 18.06 | 36 | 1 0 -1 |
| 25.00 | 100 | 1 0 1 |
| 32.31 | 67 | 1 3 -1 |
| 45.78 | 21 | 2 3 -2 |
| 47.58 | 35 | 1 0 3 |
| 58.69 | 21 | 0 3 4 |
| 59.66 | 19 | 2 3 -4 |